# 1
Starting from a structure optimized by DFT (GGA-PBE), the powder X-ray diffraction pattern of Pm6Ga3N was calculated for copper Kα.

Most intense lines, 5 to 70 degrees two-theta, low angle first:
two_theta  Rel. int.
27.43  100
28.50  36
29.25  47
31.54  41
32.21  61
32.43  79
32.73  67
34.00  42
34.31  30
35.96  54
48.41  28
56.57  27

Atomic structure:
Cell: 9.2380 9.2380 6.4870 Å, 90.00 90.00 101.46°
Fractional coordinates of all 20 atoms:
Pm: 0.0847 0.9153 0.5000
Pm: 0.1309 0.5489 0.2735
Pm: 0.2397 0.3132 0.7974
Pm: 0.3064 0.6936 0.7659
Pm: 0.3132 0.2397 0.2974
Pm: 0.4511 0.8691 0.2735
Pm: 0.5489 0.1309 0.7735
Pm: 0.6868 0.7603 0.7974
Pm: 0.6936 0.3064 0.2659
Pm: 0.7603 0.6868 0.2974
Pm: 0.8691 0.4511 0.7735
Pm: 0.9153 0.0847 0.0000
Ga: 0.0090 0.7648 0.9610
Ga: 0.2352 0.9910 0.9610
Ga: 0.4815 0.5185 0.0696
Ga: 0.5185 0.4815 0.5696
Ga: 0.7648 0.0090 0.4610
Ga: 0.9910 0.2352 0.4610
N: 0.2468 0.7532 0.4445
N: 0.7532 0.2468 0.9445

---

# 2
Starting from a structure optimized by DFT (GGA-PBE), the powder X-ray diffraction pattern of Pm2GaWN5 was calculated for copper Kα.

Most intense lines, 5 to 70 degrees two-theta, low angle first:
two_theta  Rel. int.
21.53  22
29.09  46
31.09  100
33.44  44
33.87  47
34.99  67
38.92  73
39.91  28
46.63  31
56.75  31
57.39  25
66.47  23

Atomic structure:
Cell: 7.1315 7.1315 10.2647 Å, 90.00 90.00 153.86°
Fractional coordinates of all 18 atoms:
Pm: 0.1117 0.8883 0.5000
Pm: 0.1283 0.8717 0.0825
Pm: 0.8717 0.1283 0.5825
Pm: 0.8883 0.1117 0.0000
Ga: 0.4807 0.5193 0.2694
Ga: 0.5193 0.4807 0.7694
W: 0.2224 0.7776 0.8013
W: 0.7776 0.2224 0.3013
N: 0.0636 0.9364 0.8461
N: 0.2828 0.7172 0.4317
N: 0.2979 0.7021 0.1700
N: 0.3599 0.6401 0.7991
N: 0.5002 0.4998 0.0831
N: 0.4998 0.5002 0.5831
N: 0.6401 0.3599 0.2991
N: 0.7021 0.2979 0.6700
N: 0.7172 0.2828 0.9317
N: 0.9364 0.0636 0.3461